1.
The following is a calculated XRD peak list of GaGeMo4S8. It was derived from a GGA-PBE-relaxed structure, using Cu Kα (weighted mean of Kα1 and Kα2).
Peak positions follow from Bragg's law for the DFT cell and can differ from measured ones.

Main lines, in order of rising 2θ (10 to 90 degrees two-theta):
2θ (°), intensity, hkl
14.45, 100, 1 1 1
16.70, 26, 2 0 0
23.70, 44, 2 2 0
27.87, 23, 3 1 1
33.77, 31, 4 0 0
36.90, 53, 3 3 1
41.67, 32, 4 2 2
44.33, 59, 5 1 1
48.50, 50, 4 4 0
62.47, 20, 7 1 1

Structure:
```
data_GaGeMo4S8
_chemical_formula_sum 'Ga4 Ge4 Mo16 S32'
_cell_length_a 10.6173
_cell_length_b 10.6173
_cell_length_c 10.6173
_cell_angle_alpha 90.00
_cell_angle_beta 90.00
_cell_angle_gamma 90.00
_symmetry_space_group_name_H-M 'F -4 3 m'
_symmetry_Int_Tables_number 216
_symmetry_space_group_name_Hall 'F -4 2 3'
loop_
_atom_site_label
_atom_site_type_symbol
_atom_site_fract_x
_atom_site_fract_y
_atom_site_fract_z
Ga1 Ga 0.0000 0.0000 0.0000
Ge1 Ge 0.2500 0.2500 0.7500
Mo1 Mo 0.0934 0.0934 0.5934
S1 S 0.1243 0.1243 0.3757
S2 S 0.1271 0.1271 0.8729
```


2.
The following is a calculated XRD peak list of Rb2NaNb6P3O24. It was derived from a GGA-PBE-relaxed structure, using Cu Kα (weighted mean of Kα1 and Kα2).
Peak positions follow from Bragg's law for the DFT cell and can differ from measured ones.

Main lines, in order of rising 2θ (10 to 90 degrees two-theta):
2θ (°), intensity, hkl
13.06, 22, 1 1 -1
18.50, 30, 2 0 0
25.43, 30, 2 0 1
26.29, 100, 0 4 0
28.69, 47, 1 3 -2
32.34, 17, 2 4 0
43.76, 18, 3 1 2
46.39, 20, 2 6 -2
54.10, 23, 0 8 0
55.46, 23, 1 3 4

Structure:
```
data_Rb2NaNb6P3O24
_chemical_formula_sum 'Rb4 Na2 Nb12 P6 O48'
_cell_length_a 10.5081
_cell_length_b 13.5590
_cell_length_c 8.5770
_cell_angle_alpha 90.00
_cell_angle_beta 114.08
_cell_angle_gamma 90.00
_symmetry_space_group_name_H-M 'C 1 2 1'
_symmetry_Int_Tables_number 5
loop_
_symmetry_equiv_pos_as_xyz
'x,y,z'
'-x,y,-z'
'x+1/2,y+1/2,z'
'-x+1/2,y+1/2,-z'
loop_
_atom_site_label
_atom_site_type_symbol
_atom_site_fract_x
_atom_site_fract_y
_atom_site_fract_z
Rb1 Rb 0.2415 0.0000 0.2004
Na1 Na 0.0000 0.3463 0.0000
Nb1 Nb 0.0952 0.7868 0.8513
Nb2 Nb 0.1947 0.0053 0.6553
Nb3 Nb 0.2451 0.2483 0.4635
P1 P 0.0000 0.5753 0.0000
P2 P 0.1140 0.2322 0.7713
O1 O 0.0000 0.8225 0.0000
O2 O 0.0000 0.9994 0.5000
O3 O 0.0416 0.2487 0.2616
O4 O 0.0765 0.7707 0.3471
O5 O 0.0808 0.6378 0.9205
O6 O 0.1025 0.5056 0.1388
O7 O 0.1406 0.9165 0.8147
O8 O 0.1464 0.1209 0.7896
O9 O 0.1458 0.2813 0.6288
O10 O 0.1926 0.7249 0.7104
O11 O 0.2002 0.2863 0.9427
O12 O 0.2371 0.1092 0.5239
O13 O 0.2389 0.3987 0.4300
```


3.
The following is a calculated XRD peak list of YReN3. It was derived from a GGA-PBE-relaxed structure, using Cu Kα (weighted mean of Kα1 and Kα2).
Peak positions follow from Bragg's law for the DFT cell and can differ from measured ones.

Main lines, in order of rising 2θ (10 to 90 degrees two-theta):
2θ (°), intensity, hkl
22.55, 100, 1 0 0
31.56, 62, 1 1 0
31.84, 63, 1 0 1
31.98, 66, 0 1 1
32.13, 68, 0 1 -1
32.37, 64, 1 0 -1
32.65, 64, 1 -1 0
45.96, 69, 0 0 2
46.13, 27, 2 0 0
57.26, 25, 1 1 -2

Structure:
```
data_YReN3
_chemical_formula_sum 'Y1 Re1 N3'
_cell_length_a 3.9383
_cell_length_b 3.9506
_cell_length_c 3.9506
_cell_angle_alpha 89.71
_cell_angle_beta 89.06
_cell_angle_gamma 88.10
_symmetry_space_group_name_H-M 'P 1'
_symmetry_Int_Tables_number 1
loop_
_symmetry_equiv_pos_as_xyz
'x,y,z'
loop_
_atom_site_label
_atom_site_type_symbol
_atom_site_fract_x
_atom_site_fract_y
_atom_site_fract_z
Y1 Y 0.0000 0.0000 0.0000
Re1 Re 0.5867 0.5429 0.5220
N1 N 0.0948 0.5543 0.5268
N2 N 0.6022 0.5480 0.0237
N3 N 0.6045 0.0468 0.5245
```